The following is a computed powder diffraction line list of Al2CuO4. It was derived from a structure optimized by DFT (PBE), using Cu Kα, 1.54184 Å.
Intensities are scaled so that the largest is 100.

Principal peaks in the range 2θ from 10° to 90°, in order of falling intensity:
2θ (°)	d/Å	I (rel.)
36.52	2.460	100
31.00	2.885	76
64.62	1.442	47
58.80	1.570	42
55.14	1.666	24
89.99	1.090	13
76.57	1.244	11
48.64	1.872	10
73.39	1.290	9
44.41	2.040	5

Structural model:
```
data_Al2CuO4
_chemical_formula_sum 'Al4 Cu2 O8'
_space_group_name_H-M_alt 'P 1'
_space_group_IT_number 1
_space_group_name_Hall 'P 1'
_cell_length_a 5.770
_cell_length_b 5.770
_cell_length_c 5.770
_cell_angle_alpha 60.00
_cell_angle_beta 60.00
_cell_angle_gamma 60.00
loop_
_atom_site_label
_atom_site_type_symbol
_atom_site_fract_x
_atom_site_fract_y
_atom_site_fract_z
Al1 Al 0.000 0.000 0.000
Al2 Al 0.000 0.000 0.500
Al3 Al 0.000 0.500 0.000
Al4 Al 0.500 0.000 0.000
Cu1 Cu 0.375 0.375 0.375
Cu2 Cu 0.625 0.625 0.625
O1 O 0.206 0.765 0.765
O2 O 0.235 0.235 0.235
O3 O 0.235 0.235 0.794
O4 O 0.235 0.794 0.235
O5 O 0.765 0.206 0.765
O6 O 0.765 0.765 0.206
O7 O 0.765 0.765 0.765
O8 O 0.794 0.235 0.235
```